No. 1
This entry pairs a crystal structure of Nd3Co11B4 with its calculated powder XRD pattern. Radiation: Cu Ka. Structure: a DFT-relaxed cell (GGA-PBE, Alexandria).

```
data_Nd3Co11B4
_chemical_formula_sum 'Nd3 Co11 B4'
_cell_length_a 5.1264
_cell_length_b 5.1264
_cell_length_c 9.7438
_cell_angle_alpha 90.00
_cell_angle_beta 90.00
_cell_angle_gamma 120.00
_symmetry_space_group_name_H-M 'P 6/m m m'
_symmetry_Int_Tables_number 191
_symmetry_space_group_name_Hall '-P 6 2'
loop_
_atom_site_label
_atom_site_type_symbol
_atom_site_fract_x
_atom_site_fract_y
_atom_site_fract_z
Nd1 Nd 0.0000 0.0000 0.0000
Nd2 Nd 0.0000 0.0000 0.3414
Co1 Co 0.0000 0.5000 0.2036
Co2 Co 0.0000 0.5000 0.5000
Co3 Co 0.3333 0.6667 0.0000
B1 B 0.3333 0.6667 0.3498
```

Peak list (10 most intense, 2θ from 10° to 90°, sorted by position)
| 2theta | I (rel.) |
| --- | --- |
| 20.00 | 19 |
| 34.21 | 100 |
| 35.01 | 29 |
| 40.64 | 99 |
| 45.06 | 96 |
| 62.28 | 35 |
| 69.85 | 25 |
| 72.06 | 15 |
| 73.96 | 24 |
| 84.07 | 15 |


No. 2
This entry pairs a crystal structure of Ba3Tm2O3F4 with its calculated powder XRD pattern. Radiation: Cu Ka. Structure: a DFT-relaxed cell (GGA-PBE, Alexandria).

```
data_Ba3Tm2O3F4
_chemical_formula_sum 'Ba6 Tm4 O6 F8'
_cell_length_a 4.396
_cell_length_b 28.076
_cell_length_c 4.484
_cell_angle_alpha 90.00
_cell_angle_beta 90.00
_cell_angle_gamma 90.00
_symmetry_space_group_name_H-M 'I m m 2'
_symmetry_Int_Tables_number 44
loop_
_symmetry_equiv_pos_as_xyz
'x,y,z'
'-x,-y,z'
'-x,y,z'
'x,-y,z'
'x+1/2,y+1/2,z+1/2'
'-x+1/2,-y+1/2,z+1/2'
'-x+1/2,y+1/2,z+1/2'
'x+1/2,-y+1/2,z+1/2'
loop_
_atom_site_label
_atom_site_type_symbol
_atom_site_fract_x
_atom_site_fract_y
_atom_site_fract_z
Ba1 Ba 0.000 0.000 0.000
Ba2 Ba 0.000 0.181 0.184
Tm1 Tm 0.000 0.424 0.930
O1 O 0.000 0.081 0.365
O2 O 0.000 0.500 0.893
F1 F 0.000 0.345 0.902
F2 F 0.000 0.429 0.417
```

Peak list (10 most intense, 2θ from 10° to 90°, sorted by position)
| 2theta | I (rel.) |
| --- | --- |
| 20.05 | 46 |
| 25.41 | 89 |
| 25.74 | 100 |
| 28.43 | 72 |
| 29.15 | 41 |
| 29.89 | 32 |
| 30.16 | 32 |
| 38.48 | 32 |
| 40.73 | 33 |
| 41.06 | 33 |